This entry pairs a crystal structure of Ta2Tc with its computed PXRD pattern. Radiation: Cu Kα. Structure: a cell relaxed with GGA-PBE.
Kinematic intensities with the Lorentz-polarization factor, no thermal factor.

Atomic structure:
Cell: 3.240 4.683 13.375 Å, 90.00 90.00 90.00°
Element x y z (fractional)
1 Ta 0.000 0.000 0.161
2 Ta 0.000 0.000 0.839
3 Ta 0.000 0.500 0.339
4 Ta 0.000 0.500 0.661
5 Ta 0.500 0.000 0.339
6 Ta 0.500 0.000 0.661
7 Ta 0.500 0.500 0.161
8 Ta 0.500 0.500 0.839
9 Tc 0.000 0.000 0.500
10 Tc 0.000 0.500 0.000
11 Tc 0.500 0.000 0.000
12 Tc 0.500 0.500 0.500

Main lines, by angle (2θ = 5–70°):
- hkl 0 0 2, 2θ = 13.24°, rel. 5
- hkl 0 0 4, 2θ = 26.66°, rel. 5
- hkl 1 1 1, 2θ = 34.32°, rel. 5
- hkl 0 2 0, 2θ = 38.44°, rel. 27
- hkl 1 1 3, 2θ = 39.40°, rel. 100
- hkl 0 0 6, 2θ = 40.46°, rel. 23
- hkl 0 2 4, 2θ = 47.40°, rel. 2
- hkl 2 0 0, 2θ = 56.84°, rel. 9
- hkl 0 2 6, 2θ = 57.04°, rel. 17
- hkl 1 1 7, 2θ = 59.54°, rel. 3